The following is a theoretical powder X-ray diffraction pattern of LiFeH12S2O14. It was derived from the PBE+U geometry in Alexandria, using copper Kα.
Lines closer than 0.1° are merged.

Top 10 peaks for 2θ from 5° to 70°, by angle:
2θ/deg	I_rel
12.5	25
16.5	100
17.5	27
17.6	46
20.6	39
21.4	95
21.8	54
22.4	29
23.8	65
30.2	32

Structure:
Cell lengths 6.1233, 12.4644, 8.8733 Å; angles 90.00, 104.06, 90.00 degrees
Element x y z (fractional)
1 Li 0.0953 0.0000 0.2005
2 Li 0.9047 0.5000 0.7995
3 Fe 0.4846 0.4574 0.2460
4 Fe 0.5154 0.9574 0.7540
5 H 0.1493 0.5205 0.3645
6 H 0.1588 0.3625 0.0291
7 H 0.1621 0.6006 0.2243
8 H 0.1663 0.8251 0.7159
9 H 0.1764 0.8988 0.8705
10 H 0.1917 0.0559 0.5387
11 H 0.3984 0.5635 0.9735
12 H 0.4031 0.3297 0.9962
13 H 0.4363 0.0849 0.5027
14 H 0.4472 0.8539 0.4816
15 H 0.4848 0.2667 0.3806
16 H 0.4969 0.1471 0.8926
17 H 0.5031 0.6471 0.1074
18 H 0.5152 0.7667 0.6194
19 H 0.5528 0.3539 0.5184
20 H 0.5637 0.5849 0.4973
21 H 0.5969 0.8297 0.0038
22 H 0.6016 0.0635 0.0265
23 H 0.8083 0.5559 0.4613
24 H 0.8236 0.3988 0.1295
25 H 0.8337 0.3251 0.2841
26 H 0.8379 0.1006 0.7757
27 H 0.8412 0.8625 0.9709
28 H 0.8507 0.0205 0.6355
29 S 0.2024 0.6143 0.6529
30 S 0.2438 0.8127 0.1640
31 S 0.7562 0.3127 0.8360
32 S 0.7976 0.1143 0.3471
33 O 0.0788 0.7171 0.6372
34 O 0.0806 0.5388 0.5287
35 O 0.1008 0.7199 0.1743
36 O 0.1122 0.8896 0.0395
37 O 0.1930 0.5240 0.2622
38 O 0.1974 0.5631 0.8060
39 O 0.2207 0.8960 0.7689
40 O 0.2923 0.8803 0.3074
41 O 0.3246 0.3556 0.0764
42 O 0.3593 0.0605 0.5836
43 O 0.4403 0.6297 0.6424
44 O 0.4556 0.7791 0.1231
45 O 0.4647 0.3431 0.4077
46 O 0.4945 0.0692 0.9214
47 O 0.5055 0.5692 0.0786
48 O 0.5353 0.8431 0.5923
49 O 0.5444 0.2791 0.8769
50 O 0.5597 0.1297 0.3576
51 O 0.6407 0.5605 0.4164
52 O 0.6754 0.8556 0.9236
53 O 0.7077 0.3803 0.6926
54 O 0.7793 0.3960 0.2311
55 O 0.8026 0.0631 0.1940
56 O 0.8070 0.0240 0.7378
57 O 0.8878 0.3896 0.9605
58 O 0.8992 0.2199 0.8257
59 O 0.9194 0.0388 0.4713
60 O 0.9212 0.2171 0.3628